No. 1
The following is a computed PXRD pattern of Hf6ZrSc8. It was derived from a DFT-relaxed cell (PBE, Alexandria), using Cu Kα (λ = 1.5418 Å).
No peak broadening, texture or thermal motion is included.

Most intense lines, 2θ = 10–90°, by angle:
- 11.18°, I 26.4
- 17.27°, I 26.0
- 20.62°, I 28.7
- 29.87°, I 59.5
- 34.71°, I 100.0
- 34.95°, I 31.5
- 38.36°, I 31.5
- 46.62°, I 35.8
- 56.20°, I 14.0
- 62.52°, I 18.2

Cell and atoms:
```
Hf6ZrSc8
1.0
9.138 0.000 0.000
-4.569 7.914 0.000
0.000 0.000 5.135
Hf Zr Sc
6 1 8
Direct
0.154 0.697 0.000
0.303 0.457 0.000
0.457 0.154 0.000
0.543 0.846 0.000
0.697 0.543 0.000
0.846 0.303 0.000
0.000 0.000 0.500
0.042 0.352 0.500
0.311 0.958 0.500
0.333 0.667 0.500
0.352 0.311 0.500
0.648 0.689 0.500
0.667 0.333 0.500
0.689 0.042 0.500
0.958 0.648 0.500
```



No. 2
The following is a computed PXRD pattern of Hf6Zr12Sc. It was derived from a DFT-relaxed cell (PBE, Alexandria), using Cu Kα (λ = 1.5418 Å).
No peak broadening, texture or thermal motion is included.

Most intense lines, 2θ = 10–90°, by angle:
- 19.34°, I 15.9
- 34.60°, I 41.5
- 34.68°, I 29.8
- 34.98°, I 100.0
- 36.59°, I 50.1
- 37.64°, I 50.7
- 37.86°, I 41.4
- 46.94°, I 18.0
- 53.52°, I 13.7
- 58.90°, I 12.2

Cell and atoms:
```
Hf6Zr12Sc
1.0
6.272 0.000 0.000
-3.125 7.654 0.000
-0.023 -2.512 9.178
Hf Zr Sc
6 12 1
Direct
0.083 0.199 0.292
0.382 0.801 0.709
0.386 0.798 0.207
0.614 0.202 0.793
0.618 0.199 0.291
0.917 0.801 0.708
0.052 0.605 0.904
0.056 0.613 0.410
0.093 0.201 0.793
0.271 0.037 0.507
0.275 0.045 0.009
0.478 0.454 0.645
0.522 0.546 0.355
0.725 0.955 0.991
0.729 0.963 0.493
0.907 0.799 0.207
0.944 0.387 0.590
0.948 0.395 0.096
0.500 0.500 0.000
```



No. 3
The following is a computed PXRD pattern of Hf2Zr3Sc4. It was derived from a DFT-relaxed cell (PBE, Alexandria), using Cu Kα (λ = 1.5418 Å).
No peak broadening, texture or thermal motion is included.

Most intense lines, 2θ = 10–90°, by angle:
- 10.41°, I 47.4
- 18.58°, I 25.0
- 23.51°, I 24.0
- 33.70°, I 48.9
- 34.07°, I 100.0
- 36.16°, I 83.7
- 41.74°, I 31.7
- 42.06°, I 22.8
- 61.98°, I 17.2
- 62.31°, I 15.3

Cell and atoms:
```
Hf2Zr3Sc4
1.0
7.278 -5.267 0.000
7.278 5.267 0.000
-0.809 0.000 5.442
Hf Zr Sc
4 6 8
Direct
0.024 0.758 0.698
0.242 0.976 0.802
0.758 0.024 0.198
0.976 0.242 0.302
0.115 0.885 0.250
0.195 0.470 0.409
0.470 0.195 0.909
0.530 0.805 0.091
0.805 0.530 0.591
0.885 0.115 0.750
0.107 0.336 0.857
0.320 0.567 0.968
0.336 0.107 0.357
0.433 0.680 0.532
0.567 0.320 0.468
0.664 0.893 0.643
0.680 0.433 0.032
0.893 0.664 0.143
```



No. 4
The following is a computed PXRD pattern of Hf5Zr3Sc. It was derived from a DFT-relaxed cell (PBE, Alexandria), using Cu Kα (λ = 1.5418 Å).
No peak broadening, texture or thermal motion is included.

Most intense lines, 2θ = 10–90°, by angle:
- 11.80°, I 17.8
- 25.04°, I 15.5
- 35.48°, I 91.5
- 35.92°, I 100.0
- 46.56°, I 11.2
- 51.38°, I 31.8
- 64.28°, I 32.2
- 64.57°, I 18.0
- 71.28°, I 26.8
- 86.93°, I 14.4

Cell and atoms:
```
Hf5Zr3Sc
1.0
8.660 0.000 0.000
-4.330 7.499 0.000
0.000 0.000 6.237
Hf Zr Sc
10 6 2
Direct
0.000 0.336 0.250
0.000 0.664 0.750
0.333 0.667 0.000
0.333 0.667 0.500
0.336 0.000 0.250
0.336 0.336 0.750
0.664 0.000 0.750
0.664 0.664 0.250
0.667 0.333 0.000
0.667 0.333 0.500
0.000 0.336 0.750
0.000 0.664 0.250
0.336 0.000 0.750
0.336 0.336 0.250
0.664 0.000 0.250
0.664 0.664 0.750
0.000 0.000 0.000
0.000 0.000 0.500
```